Structure and simulated PXRD pattern of LaNd3DySc (a GGA-PBE-relaxed structure; a wavelength of 1.5418 Å).
Lines closer than 0.1° are merged.

Top 10 peaks for 10 to 90 degrees two-theta, in order of falling intensity:
d = 2.937 Å, intensity 100; d = 1.795 Å, intensity 24; d = 2.549 Å, intensity 17; d = 2.525 Å, intensity 17; d = 2.557 Å, intensity 17; d = 1.536 Å, intensity 14; d = 1.540 Å, intensity 14; d = 1.525 Å, intensity 14; d = 1.468 Å, intensity 12; d = 1.805 Å, intensity 12

Atomic structure:
```
LaNd3DySc
1.0
2.549 -7.671 0.000
2.549 7.671 0.000
0.000 0.000 10.098
La Nd Dy Sc
2 6 2 2
direct
0.000 0.000 0.000 La
0.000 0.000 0.500 La
0.170 0.830 0.750 Nd
0.332 0.668 0.502 Nd
0.332 0.668 0.998 Nd
0.668 0.332 0.002 Nd
0.668 0.332 0.498 Nd
0.830 0.170 0.250 Nd
0.496 0.504 0.750 Dy
0.504 0.496 0.250 Dy
0.166 0.834 0.250 Sc
0.834 0.166 0.750 Sc
```

---

Structure and simulated PXRD pattern of LaNdDy2Se6 (a GGA-PBE-relaxed structure; a wavelength of 1.5418 Å).
Lines closer than 0.1° are merged.

Top 10 peaks for 10 to 90 degrees two-theta, in order of falling intensity:
d = 2.443 Å, intensity 100; d = 2.136 Å, intensity 69; d = 3.216 Å, intensity 68; d = 3.883 Å, intensity 66; d = 2.678 Å, intensity 52; d = 5.357 Å, intensity 46; d = 3.699 Å, intensity 44; d = 2.169 Å, intensity 43; d = 1.608 Å, intensity 24; d = 1.868 Å, intensity 21

Atomic structure:
```
LaNdDy2Se6
1.0
3.699 2.136 6.509
-3.699 2.136 6.509
0.000 -4.271 6.509
La Nd Dy Se
1 1 2 6
direct
0.000 0.000 0.000 La
0.497 0.497 0.497 Nd
0.295 0.295 0.295 Dy
0.797 0.797 0.797 Dy
0.080 0.674 0.420 Se
0.183 0.581 0.911 Se
0.420 0.080 0.674 Se
0.581 0.911 0.183 Se
0.674 0.420 0.080 Se
0.911 0.183 0.581 Se
```

---

Structure and simulated PXRD pattern of LaNd2SmDy2 (a GGA-PBE-relaxed structure; a wavelength of 1.5418 Å).
Lines closer than 0.1° are merged.

Top 10 peaks for 10 to 90 degrees two-theta, in order of falling intensity:
d = 3.120 Å, intensity 100; d = 2.995 Å, intensity 97; d = 3.063 Å, intensity 79; d = 2.223 Å, intensity 63; d = 2.689 Å, intensity 60; d = 2.540 Å, intensity 46; d = 2.781 Å, intensity 43; d = 1.446 Å, intensity 37; d = 2.894 Å, intensity 37; d = 1.697 Å, intensity 34

Atomic structure:
```
LaNd2SmDy2
1.0
6.633 0.000 0.000
0.000 18.377 0.000
0.000 0.000 3.433
La Nd Sm Dy
2 4 2 4
direct
0.000 0.000 0.000 La
0.500 0.500 0.500 La
0.216 0.189 0.000 Nd
0.284 0.689 0.500 Nd
0.716 0.311 0.500 Nd
0.784 0.811 0.000 Nd
0.000 0.500 0.000 Sm
0.500 0.000 0.500 Sm
0.214 0.353 0.500 Dy
0.286 0.853 0.000 Dy
0.714 0.147 0.000 Dy
0.786 0.647 0.500 Dy
```